# 1
# Ba6AgPd2
Computed powder diffraction line list, Cu Kα, 1.54184 Å. Input: the PBE geometry in Alexandria.
Neutral-atom scattering factors, no anomalous dispersion.

Largest 10 diffraction maxima, by angle, 10° ≤ 2θ ≤ 80°:
2θ = 15.73°, d = 5.633 Å, I 38; 2θ = 22.24°, d = 3.998 Å, I 48; 2θ = 24.18°, d = 3.681 Å, I 59; 2θ = 24.36°, d = 3.653 Å, I 93; 2θ = 27.76°, d = 3.213 Å, I 61; 2θ = 28.84°, d = 3.096 Å, I 100; 2θ = 34.25°, d = 2.618 Å, I 41; 2θ = 35.28°, d = 2.544 Å, I 55; 2θ = 40.46°, d = 2.229 Å, I 44; 2θ = 45.38°, d = 1.999 Å, I 50

Lattice parameters (Å, degrees): 8.2736 8.2736 10.5708 115.62 115.62 43.95
Fractional coordinates of all 9 atoms:
Ba 0.0170 0.0170 0.2052
Ba 0.3007 0.3007 0.9097
Ba 0.3482 0.3482 0.4171
Ba 0.6518 0.6518 0.5829
Ba 0.6993 0.6993 0.0903
Ba 0.9830 0.9830 0.7948
Ag 0.0000 0.0000 0.5000
Pd 0.1784 0.1784 0.0965
Pd 0.8216 0.8216 0.9035

***

# 2
# Sn4S2Br5
Computed powder diffraction line list, Cu Kα, 1.54184 Å. Input: the PBE geometry in Alexandria.
Neutral-atom scattering factors, no anomalous dispersion.

Largest 10 diffraction maxima, by angle, 10° ≤ 2θ ≤ 80°:
2θ = 16.35°, d = 5.420 Å, I 41; 2θ = 16.63°, d = 5.330 Å, I 26; 2θ = 27.44°, d = 3.251 Å, I 100; 2θ = 28.81°, d = 3.099 Å, I 49; 2θ = 34.10°, d = 2.630 Å, I 41; 2θ = 36.12°, d = 2.487 Å, I 43; 2θ = 38.50°, d = 2.338 Å, I 17; 2θ = 42.02°, d = 2.150 Å, I 16; 2θ = 43.21°, d = 2.094 Å, I 20; 2θ = 52.77°, d = 1.735 Å, I 18

Lattice parameters (Å, degrees): 4.1870 10.7998 10.8627 61.30 78.93 90.00
Fractional coordinates of all 11 atoms:
Sn 0.0017 0.2798 0.4956
Sn 0.3408 0.7610 0.8200
Sn 0.6592 0.2390 0.1800
Sn 0.9983 0.7202 0.5044
S 0.4812 0.8619 0.5384
S 0.5188 0.1381 0.4616
Br 0.1444 0.0342 0.2100
Br 0.1554 0.4498 0.1876
Br 0.5000 0.5000 0.5000
Br 0.8446 0.5502 0.8124
Br 0.8556 0.9658 0.7900

***

# 3
# AgSb2
Computed powder diffraction line list, Cu Kα, 1.54184 Å. Input: the PBE geometry in Alexandria.
Neutral-atom scattering factors, no anomalous dispersion.

Largest 8 diffraction maxima, by angle, 10° ≤ 2θ ≤ 80°:
2θ = 30.11°, d = 2.968 Å, I 100; 2θ = 43.10°, d = 2.099 Å, I 74; 2θ = 53.38°, d = 1.716 Å, I 6; 2θ = 53.49°, d = 1.713 Å, I 19; 2θ = 62.59°, d = 1.484 Å, I 12; 2θ = 71.00°, d = 1.327 Å, I 32; 2θ = 78.90°, d = 1.213 Å, I 6; 2θ = 79.05°, d = 1.211 Å, I 18

Lattice parameters (Å, degrees): 4.1950 4.1950 5.1487 90.00 90.00 120.00
Fractional coordinates of all 3 atoms:
Ag 0.0000 0.0000 0.0000
Sb 0.3333 0.6667 0.3235
Sb 0.6667 0.3333 0.6765

***

# 4
# SrHgGe2Pt5
Computed powder diffraction line list, Cu Kα, 1.54184 Å. Input: the PBE geometry in Alexandria.
Neutral-atom scattering factors, no anomalous dispersion.

Largest 10 diffraction maxima, by angle, 10° ≤ 2θ ≤ 80°:
2θ = 22.92°, d = 3.880 Å, I 53; 2θ = 23.28°, d = 3.821 Å, I 61; 2θ = 31.67°, d = 2.825 Å, I 46; 2θ = 34.52°, d = 2.598 Å, I 100; 2θ = 38.86°, d = 2.318 Å, I 74; 2θ = 43.92°, d = 2.061 Å, I 83; 2θ = 44.32°, d = 2.044 Å, I 59; 2θ = 50.29°, d = 1.814 Å, I 32; 2θ = 50.66°, d = 1.802 Å, I 29; 2θ = 66.76°, d = 1.401 Å, I 37

Lattice parameters (Å, degrees): 4.1230 4.1230 11.4621 90.00 90.00 90.00
Fractional coordinates of all 9 atoms:
Sr 0.0000 0.0000 0.0000
Hg 0.0000 0.0000 0.5000
Ge 0.5000 0.5000 0.2112
Ge 0.5000 0.5000 0.7888
Pt 0.0000 0.5000 0.3274
Pt 0.0000 0.5000 0.6726
Pt 0.5000 0.0000 0.3274
Pt 0.5000 0.0000 0.6726
Pt 0.5000 0.5000 0.0000

***

# 5
# CePmU2As4
Computed powder diffraction line list, Cu Kα, 1.54184 Å. Input: the PBE geometry in Alexandria.
Neutral-atom scattering factors, no anomalous dispersion.

Largest 10 diffraction maxima, by angle, 10° ≤ 2θ ≤ 80°:
2θ = 25.80°, d = 3.453 Å, I 8; 2θ = 26.40°, d = 3.376 Å, I 24; 2θ = 30.40°, d = 2.940 Å, I 100; 2θ = 43.15°, d = 2.097 Å, I 38; 2θ = 43.91°, d = 2.062 Å, I 37; 2θ = 51.63°, d = 1.770 Å, I 8; 2θ = 54.34°, d = 1.688 Å, I 20; 2θ = 63.25°, d = 1.470 Å, I 12; 2θ = 71.23°, d = 1.324 Å, I 18; 2θ = 72.34°, d = 1.306 Å, I 17

Lattice parameters (Å, degrees): 7.1445 4.1228 7.3057 90.00 109.03 90.00
Fractional coordinates of all 8 atoms:
Ce 0.0000 0.0000 0.0000
Pm 0.5000 0.5000 0.0000
U 0.0000 0.5000 0.5000
U 0.5000 0.0000 0.5000
As 0.2460 0.0000 0.7401
As 0.2525 0.5000 0.2591
As 0.7475 0.5000 0.7409
As 0.7540 0.0000 0.2599

***

# 6
# Sm3Y6Tl
Computed powder diffraction line list, Cu Kα, 1.54184 Å. Input: the PBE geometry in Alexandria.
Neutral-atom scattering factors, no anomalous dispersion.

Largest 10 diffraction maxima, by angle, 10° ≤ 2θ ≤ 80°:
2θ = 29.61°, d = 3.017 Å, I 20; 2θ = 30.41°, d = 2.940 Å, I 45; 2θ = 30.71°, d = 2.912 Å, I 53; 2θ = 31.60°, d = 2.831 Å, I 29; 2θ = 31.78°, d = 2.816 Å, I 100; 2θ = 33.61°, d = 2.666 Å, I 42; 2θ = 34.01°, d = 2.636 Å, I 35; 2θ = 37.24°, d = 2.414 Å, I 22; 2θ = 50.41°, d = 1.810 Å, I 22; 2θ = 60.84°, d = 1.523 Å, I 32

Lattice parameters (Å, degrees): 12.1882 3.6202 14.7296 90.00 93.74 90.00
Fractional coordinates of all 20 atoms:
Sm 0.0531 0.2500 0.3061
Sm 0.0994 0.2500 0.0857
Sm 0.4246 0.2500 0.8207
Sm 0.5754 0.7500 0.1793
Sm 0.9006 0.7500 0.9143
Sm 0.9469 0.7500 0.6939
Y 0.1166 0.7500 0.5032
Y 0.1923 0.7500 0.8930
Y 0.2044 0.2500 0.6889
Y 0.3100 0.7500 0.2555
Y 0.3804 0.2500 0.0475
Y 0.4353 0.7500 0.6095
Y 0.5647 0.2500 0.3905
Y 0.6196 0.7500 0.9525
Y 0.6900 0.2500 0.7445
Y 0.7956 0.7500 0.3111
Y 0.8077 0.2500 0.1070
Y 0.8834 0.2500 0.4968
Tl 0.3162 0.2500 0.4426
Tl 0.6838 0.7500 0.5574

***

# 7
# Pr3Er5Th2
Computed powder diffraction line list, Cu Kα, 1.54184 Å. Input: the PBE geometry in Alexandria.
Neutral-atom scattering factors, no anomalous dispersion.

Largest 10 diffraction maxima, by angle, 10° ≤ 2θ ≤ 80°:
2θ = 20.66°, d = 4.298 Å, I 15; 2θ = 29.33°, d = 3.045 Å, I 68; 2θ = 31.63°, d = 2.829 Å, I 100; 2θ = 32.42°, d = 2.762 Å, I 21; 2θ = 33.26°, d = 2.694 Å, I 42; 2θ = 33.66°, d = 2.663 Å, I 14; 2θ = 35.48°, d = 2.530 Å, I 25; 2θ = 47.13°, d = 1.928 Å, I 15; 2θ = 49.51°, d = 1.841 Å, I 15; 2θ = 62.26°, d = 1.491 Å, I 21

Lattice parameters (Å, degrees): 10.1454 10.1454 8.9890 108.50 108.50 115.85
Fractional coordinates of all 20 atoms:
Pr 0.0233 0.2685 0.0399
Pr 0.2245 0.7755 0.7500
Pr 0.2685 0.0233 0.5399
Pr 0.7315 0.9767 0.4601
Pr 0.7755 0.2245 0.2500
Pr 0.9767 0.7315 0.9601
Er 0.0306 0.9694 0.7500
Er 0.1386 0.3609 0.7523
Er 0.2787 0.7213 0.2500
Er 0.3609 0.1386 0.2523
Er 0.4666 0.5334 0.2500
Er 0.5334 0.4666 0.7500
Er 0.6391 0.8614 0.7477
Er 0.7213 0.2787 0.7500
Er 0.8614 0.6391 0.2477
Er 0.9694 0.0306 0.2500
Th 0.2432 0.4820 0.4739
Th 0.4820 0.2432 0.9739
Th 0.5180 0.7568 0.0261
Th 0.7568 0.5180 0.5261

***

# 8
# LaThMnN4
Computed powder diffraction line list, Cu Kα, 1.54184 Å. Input: the PBE geometry in Alexandria.
Neutral-atom scattering factors, no anomalous dispersion.

Largest 10 diffraction maxima, by angle, 10° ≤ 2θ ≤ 80°:
2θ = 24.77°, d = 3.594 Å, I 39; 2θ = 27.66°, d = 3.225 Å, I 17; 2θ = 31.70°, d = 2.823 Å, I 100; 2θ = 33.87°, d = 2.646 Å, I 57; 2θ = 44.28°, d = 2.046 Å, I 29; 2θ = 48.66°, d = 1.871 Å, I 26; 2θ = 55.03°, d = 1.669 Å, I 15; 2θ = 55.59°, d = 1.653 Å, I 15; 2θ = 59.24°, d = 1.560 Å, I 35; 2θ = 76.96°, d = 1.239 Å, I 12

Lattice parameters (Å, degrees): 6.9716 6.9716 6.9716 148.86 148.86 44.62
Fractional coordinates of all 7 atoms:
La 0.0000 0.0000 0.0000
Th 0.7119 0.7119 0.0000
Mn 0.3525 0.3525 0.0000
N 0.1896 0.1896 0.0000
N 0.3508 0.8508 0.5000
N 0.5317 0.5317 0.0000
N 0.8508 0.3508 0.5000